Diffraction record for BeSi2H. The powder XRD pattern is theoretical, not measured: it uses a DFT-relaxed cell (PBE, Alexandria) and Cu Ka.
Kinematic intensities with the Lorentz-polarization factor, no thermal factor.

Cell and atoms:
```
data_BeSi2H
_cell_length_a 3.877
_cell_length_b 3.916
_cell_length_c 7.483
_cell_angle_alpha 91.61
_cell_angle_beta 90.73
_cell_angle_gamma 90.02
_symmetry_space_group_name_H-M 'P 1'
_symmetry_Int_Tables_number 1
loop_
_symmetry_equiv_pos_as_xyz
'x,y,z'
loop_
_atom_site_label
_atom_site_fract_x
_atom_site_fract_y
_atom_site_fract_z
Be1 0.000 0.000 0.000
Be2 0.003 0.569 0.170
Si1 0.009 0.147 0.634
Si2 0.499 0.685 0.010
Si3 0.507 0.192 0.819
Si4 0.912 0.639 0.463
H1 0.001 0.203 0.161
H2 0.519 0.638 0.485
```

Top 10 peaks for 10° ≤ 2θ ≤ 90°, sorted by position:
| h k l | 2θ/deg | d_spacing | I (rel.) |
| --- | --- | --- | --- |
| 0 0 1 | 11.83 | 7.480 | 68.5 |
| 0 1 -1 | 25.38 | 3.509 | 28.1 |
| 1 0 -1 | 25.75 | 3.460 | 57.3 |
| 1 0 1 | 26.01 | 3.426 | 100.0 |
| 0 1 -2 | 32.65 | 2.743 | 34.3 |
| 0 1 2 | 33.59 | 2.668 | 25.0 |
| 0 2 0 | 46.39 | 1.957 | 23.1 |
| 2 0 0 | 46.87 | 1.938 | 23.4 |
| 1 1 -3 | 48.55 | 1.875 | 20.9 |
| -1 2 1 | 54.16 | 1.694 | 23.8 |

Diffraction record for BeSn2H. The powder XRD pattern is theoretical, not measured: it uses a DFT-relaxed cell (PBE, Alexandria) and Cu Ka.
Kinematic intensities with the Lorentz-polarization factor, no thermal factor.

Cell and atoms:
```
data_BeSn2H
_cell_length_a 6.399
_cell_length_b 6.399
_cell_length_c 6.399
_cell_angle_alpha 90.00
_cell_angle_beta 90.00
_cell_angle_gamma 90.00
_symmetry_space_group_name_H-M 'F m -3 m'
_symmetry_Int_Tables_number 225
_symmetry_space_group_name_Hall '-F 4 2 3'
loop_
_atom_site_label
_atom_site_fract_x
_atom_site_fract_y
_atom_site_fract_z
Be1 0.000 0.000 0.000
Sn1 0.250 0.250 0.250
H1 0.000 0.000 0.500
```

Top 7 peaks for 10° ≤ 2θ ≤ 90°, sorted by position:
| h k l | 2θ/deg | d_spacing | I (rel.) |
| --- | --- | --- | --- |
| 2 0 0 | 27.89 | 3.199 | 100.0 |
| 2 2 0 | 39.85 | 2.262 | 89.5 |
| 2 2 2 | 49.33 | 1.847 | 29.2 |
| 4 0 0 | 57.62 | 1.600 | 15.5 |
| 4 2 0 | 65.20 | 1.431 | 39.3 |
| 4 2 2 | 72.34 | 1.306 | 32.7 |
| 4 4 0 | 85.93 | 1.131 | 11.0 |

Diffraction record for Be2TcH6. The powder XRD pattern is theoretical, not measured: it uses a DFT-relaxed cell (PBE, Alexandria) and Cu Ka.
Kinematic intensities with the Lorentz-polarization factor, no thermal factor.

Cell and atoms:
```
data_Be2TcH6
_cell_length_a 3.682
_cell_length_b 4.358
_cell_length_c 7.115
_cell_angle_alpha 90.00
_cell_angle_beta 90.00
_cell_angle_gamma 90.00
_symmetry_space_group_name_H-M 'P n n m'
_symmetry_Int_Tables_number 58
loop_
_symmetry_equiv_pos_as_xyz
'x,y,z'
'-x,-y,-z'
'-x,-y,z'
'x,y,-z'
'x+1/2,-y+1/2,-z+1/2'
'-x+1/2,y+1/2,z+1/2'
'-x+1/2,y+1/2,-z+1/2'
'x+1/2,-y+1/2,z+1/2'
loop_
_atom_site_label
_atom_site_fract_x
_atom_site_fract_y
_atom_site_fract_z
Be1 0.000 0.000 0.185
Tc1 0.000 0.500 0.000
H1 0.233 0.312 0.180
H2 0.245 0.844 0.000
```

Top 10 peaks for 10° ≤ 2θ ≤ 90°, sorted by position:
| h k l | 2θ/deg | d_spacing | I (rel.) |
| --- | --- | --- | --- |
| 0 1 1 | 23.94 | 3.717 | 100.0 |
| 0 0 2 | 25.03 | 3.558 | 41.1 |
| 1 0 1 | 27.27 | 3.270 | 91.6 |
| 1 1 0 | 31.81 | 2.813 | 41.8 |
| 1 1 2 | 40.90 | 2.207 | 62.7 |
| 0 1 3 | 43.44 | 2.083 | 26.4 |
| 1 2 1 | 50.31 | 1.813 | 32.0 |
| 2 1 1 | 55.71 | 1.650 | 19.6 |
| 1 1 4 | 61.70 | 1.503 | 15.8 |
| 2 1 3 | 67.97 | 1.379 | 20.3 |

Diffraction record for ThBeH. The powder XRD pattern is theoretical, not measured: it uses a DFT-relaxed cell (PBE, Alexandria) and Cu Ka.
Kinematic intensities with the Lorentz-polarization factor, no thermal factor.

Cell and atoms:
```
data_ThBeH
_cell_length_a 3.884
_cell_length_b 11.868
_cell_length_c 4.214
_cell_angle_alpha 90.00
_cell_angle_beta 90.00
_cell_angle_gamma 90.00
_symmetry_space_group_name_H-M 'A m a 2'
_symmetry_Int_Tables_number 40
loop_
_symmetry_equiv_pos_as_xyz
'x,y,z'
'-x,-y,z'
'-x+1/2,y,z'
'x+1/2,-y,z'
'x,y+1/2,z+1/2'
'-x,-y+1/2,z+1/2'
'-x+1/2,y+1/2,z+1/2'
'x+1/2,-y+1/2,z+1/2'
loop_
_atom_site_label
_atom_site_fract_x
_atom_site_fract_y
_atom_site_fract_z
Th1 0.250 0.151 0.000
Be1 0.000 0.000 0.488
H1 0.250 0.461 0.279
```

Top 10 peaks for 10° ≤ 2θ ≤ 90°, sorted by position:
| h k l | 2θ/deg | d_spacing | I (rel.) |
| --- | --- | --- | --- |
| 0 1 1 | 22.39 | 3.971 | 55.9 |
| 1 2 0 | 27.45 | 3.250 | 100.0 |
| 0 4 0 | 30.12 | 2.967 | 25.6 |
| 0 3 1 | 31.01 | 2.884 | 80.4 |
| 1 1 1 | 32.24 | 2.777 | 99.0 |
| 1 4 0 | 38.17 | 2.358 | 18.2 |
| 1 5 1 | 49.96 | 1.825 | 45.3 |
| 1 2 2 | 51.70 | 1.768 | 36.8 |
| 2 3 1 | 57.19 | 1.611 | 26.5 |
| 0 7 1 | 58.73 | 1.572 | 22.1 |

Diffraction record for ZrTi2BeH. The powder XRD pattern is theoretical, not measured: it uses a DFT-relaxed cell (PBE, Alexandria) and Cu Ka.
Kinematic intensities with the Lorentz-polarization factor, no thermal factor.

Cell and atoms:
```
data_ZrTi2BeH
_cell_length_a 4.028
_cell_length_b 4.028
_cell_length_c 4.225
_cell_angle_alpha 90.00
_cell_angle_beta 90.00
_cell_angle_gamma 90.00
_symmetry_space_group_name_H-M 'P 4/m m m'
_symmetry_Int_Tables_number 123
_symmetry_space_group_name_Hall '-P 4 2'
loop_
_atom_site_label
_atom_site_fract_x
_atom_site_fract_y
_atom_site_fract_z
Zr1 0.000 0.000 0.000
Ti1 0.000 0.500 0.500
Be1 0.500 0.500 0.000
H1 0.000 0.000 0.500
```

Top 10 peaks for 10° ≤ 2θ ≤ 90°, sorted by position:
| h k l | 2θ/deg | d_spacing | I (rel.) |
| --- | --- | --- | --- |
| 1 0 0 | 22.07 | 4.028 | 44.6 |
| 1 0 1 | 30.67 | 2.915 | 35.9 |
| 1 1 1 | 38.10 | 2.362 | 100.0 |
| 0 0 2 | 42.81 | 2.112 | 18.1 |
| 2 0 0 | 45.01 | 2.014 | 31.0 |
| 1 0 2 | 48.67 | 1.871 | 10.3 |
| 2 1 1 | 55.45 | 1.657 | 13.2 |
| 2 0 2 | 63.86 | 1.458 | 20.3 |
| 1 1 3 | 75.28 | 1.262 | 12.0 |
| 3 1 1 | 78.41 | 1.220 | 21.5 |

Diffraction record for TmBeH. The powder XRD pattern is theoretical, not measured: it uses a DFT-relaxed cell (PBE, Alexandria) and Cu Ka.
Kinematic intensities with the Lorentz-polarization factor, no thermal factor.

Cell and atoms:
```
data_TmBeH
_cell_length_a 3.9340
_cell_length_b 3.9340
_cell_length_c 17.5358
_cell_angle_alpha 90.00
_cell_angle_beta 90.00
_cell_angle_gamma 120.00
_symmetry_space_group_name_H-M 'R -3 m'
_symmetry_Int_Tables_number 166
_symmetry_space_group_name_Hall '-R 3 2"'
loop_
_atom_site_label
_atom_site_fract_x
_atom_site_fract_y
_atom_site_fract_z
Tm1 0.0000 0.0000 0.0937
Be1 0.0000 0.0000 0.3265
H1 0.0000 0.0000 0.2322
```

Top 10 peaks for 10° ≤ 2θ ≤ 90°, sorted by position:
| h k l | 2θ/deg | d_spacing | I (rel.) |
| --- | --- | --- | --- |
| 1 0 1 | 26.65 | 3.344 | 100.0 |
| 0 1 2 | 28.10 | 3.176 | 16.2 |
| 0 0 6 | 30.59 | 2.923 | 28.3 |
| 1 0 4 | 33.31 | 2.690 | 43.1 |
| 0 1 5 | 36.78 | 2.444 | 65.3 |
| 1 1 0 | 46.15 | 1.967 | 37.4 |
| 0 2 1 | 54.09 | 1.695 | 14.5 |
| 1 1 6 | 56.38 | 1.632 | 30.7 |
| 2 0 5 | 60.41 | 1.532 | 15.6 |
| 1 2 5 | 79.25 | 1.209 | 14.4 |

Diffraction record for UBe2H8. The powder XRD pattern is theoretical, not measured: it uses a DFT-relaxed cell (PBE, Alexandria) and Cu Ka.
Kinematic intensities with the Lorentz-polarization factor, no thermal factor.

Cell and atoms:
```
data_UBe2H8
_cell_length_a 4.1213
_cell_length_b 4.1213
_cell_length_c 15.8070
_cell_angle_alpha 90.00
_cell_angle_beta 90.00
_cell_angle_gamma 120.00
_symmetry_space_group_name_H-M 'R -3 m'
_symmetry_Int_Tables_number 166
_symmetry_space_group_name_Hall '-R 3 2"'
loop_
_atom_site_label
_atom_site_fract_x
_atom_site_fract_y
_atom_site_fract_z
U1 0.0000 0.0000 0.0000
Be1 0.0000 0.0000 0.2228
H1 0.0000 0.0000 0.1332
H2 0.0189 0.5094 0.0651
```

Top 10 peaks for 10° ≤ 2θ ≤ 90°, sorted by position:
| h k l | 2θ/deg | d_spacing | I (rel.) |
| --- | --- | --- | --- |
| 0 0 3 | 16.83 | 5.269 | 81.9 |
| 1 0 1 | 25.59 | 3.482 | 100.0 |
| 0 1 2 | 27.42 | 3.253 | 73.0 |
| 1 0 4 | 33.84 | 2.649 | 51.9 |
| 0 1 5 | 38.02 | 2.367 | 39.1 |
| 1 1 0 | 43.94 | 2.061 | 26.8 |
| 1 1 3 | 47.37 | 1.919 | 36.5 |
| 1 0 7 | 47.66 | 1.908 | 18.1 |
| 0 2 1 | 51.54 | 1.773 | 16.5 |
| 1 1 6 | 56.71 | 1.623 | 22.5 |

Diffraction record for Be2VH. The powder XRD pattern is theoretical, not measured: it uses a DFT-relaxed cell (PBE, Alexandria) and Cu Ka.
Kinematic intensities with the Lorentz-polarization factor, no thermal factor.

Cell and atoms:
a = 6.377 Å, b = 6.377 Å, c = 6.377 Å
α = 90.00°, β = 90.00°, γ = 90.00°
Space group Fd-3m (No. 227, origin choice 2)
Unique sites:
1 Be 0.000 0.000 0.000 (multiplicity 16)
2 V 0.125 0.125 0.625 (multiplicity 8)
3 H 0.125 0.125 0.125 (multiplicity 8)

Top 9 peaks for 10° ≤ 2θ ≤ 90°, sorted by position:
| h k l | 2θ/deg | d_spacing | I (rel.) |
| --- | --- | --- | --- |
| 1 1 1 | 24.17 | 3.682 | 77.0 |
| 2 2 0 | 39.99 | 2.255 | 100.0 |
| 3 1 1 | 47.28 | 1.923 | 73.6 |
| 2 2 2 | 49.52 | 1.841 | 1.8 |
| 4 0 0 | 57.84 | 1.594 | 8.6 |
| 3 3 1 | 63.60 | 1.463 | 13.8 |
| 4 2 2 | 72.63 | 1.302 | 28.0 |
| 5 1 1 | 77.83 | 1.227 | 20.5 |
| 4 4 0 | 86.29 | 1.127 | 13.8 |

Diffraction record for BeV2H4. The powder XRD pattern is theoretical, not measured: it uses a DFT-relaxed cell (PBE, Alexandria) and Cu Ka.
Kinematic intensities with the Lorentz-polarization factor, no thermal factor.

Cell and atoms:
```
data_BeV2H4
_cell_length_a 7.044
_cell_length_b 8.075
_cell_length_c 7.036
_cell_angle_alpha 90.00
_cell_angle_beta 90.00
_cell_angle_gamma 90.00
_symmetry_space_group_name_H-M 'F d d 2'
_symmetry_Int_Tables_number 43
_symmetry_space_group_name_Hall 'F 2 -2d'
loop_
_atom_site_label
_atom_site_fract_x
_atom_site_fract_y
_atom_site_fract_z
Be1 0.000 0.000 0.000
V1 0.125 0.125 0.627
H1 0.114 0.142 0.888
H2 0.114 0.358 0.615
```

Top 10 peaks for 10° ≤ 2θ ≤ 90°, sorted by position:
| h k l | 2θ/deg | d_spacing | I (rel.) |
| --- | --- | --- | --- |
| 1 1 1 | 20.96 | 4.238 | 100.0 |
| 1 3 1 | 38.00 | 2.368 | 27.8 |
| 3 1 1 | 42.10 | 2.146 | 43.4 |
| 2 2 2 | 42.67 | 2.119 | 63.0 |
| 0 4 0 | 44.90 | 2.019 | 14.3 |
| 4 0 0 | 51.95 | 1.760 | 17.6 |
| 3 3 1 | 53.41 | 1.716 | 13.9 |
| 5 1 1 | 69.01 | 1.361 | 8.4 |
| 4 4 0 | 71.06 | 1.327 | 15.4 |
| 2 6 2 | 81.26 | 1.184 | 8.4 |

Diffraction record for HfBe5. The powder XRD pattern is theoretical, not measured: it uses a DFT-relaxed cell (PBE, Alexandria) and Cu Ka.
Kinematic intensities with the Lorentz-polarization factor, no thermal factor.

Cell and atoms:
```
data_HfBe5
_cell_length_a 4.5273
_cell_length_b 4.5273
_cell_length_c 3.4343
_cell_angle_alpha 90.00
_cell_angle_beta 90.00
_cell_angle_gamma 120.00
_symmetry_space_group_name_H-M 'P 6/m m m'
_symmetry_Int_Tables_number 191
_symmetry_space_group_name_Hall '-P 6 2'
loop_
_atom_site_label
_atom_site_fract_x
_atom_site_fract_y
_atom_site_fract_z
Hf1 0.0000 0.0000 0.0000
Be1 0.0000 0.5000 0.5000
Be2 0.3333 0.6667 0.0000
```

Top 10 peaks for 10° ≤ 2θ ≤ 90°, sorted by position:
| h k l | 2θ/deg | d_spacing | I (rel.) |
| --- | --- | --- | --- |
| 1 0 0 | 22.68 | 3.921 | 100.0 |
| 0 0 1 | 25.94 | 3.434 | 26.3 |
| 1 0 1 | 34.72 | 2.583 | 80.9 |
| 1 1 0 | 39.82 | 2.264 | 29.8 |
| 2 0 0 | 46.31 | 1.960 | 20.7 |
| 1 1 1 | 48.14 | 1.890 | 39.2 |
| 2 0 1 | 53.85 | 1.703 | 17.8 |
| 1 0 2 | 58.70 | 1.573 | 15.9 |
| 2 1 0 | 62.69 | 1.482 | 13.0 |
| 2 1 1 | 69.02 | 1.361 | 22.4 |

Diffraction record for Hf2Be9Ir. The powder XRD pattern is theoretical, not measured: it uses a DFT-relaxed cell (PBE, Alexandria) and Cu Ka.
Kinematic intensities with the Lorentz-polarization factor, no thermal factor.

Cell and atoms:
```
data_Hf2Be9Ir
_cell_length_a 4.5321
_cell_length_b 4.5321
_cell_length_c 21.5539
_cell_angle_alpha 90.00
_cell_angle_beta 90.00
_cell_angle_gamma 120.00
_symmetry_space_group_name_H-M 'R -3 m'
_symmetry_Int_Tables_number 166
_symmetry_space_group_name_Hall '-R 3 2"'
loop_
_atom_site_label
_atom_site_fract_x
_atom_site_fract_y
_atom_site_fract_z
Hf1 0.0000 0.0000 0.1429
Be1 0.0000 0.0000 0.3345
Be2 0.0000 0.0000 0.5000
Be3 0.0044 0.5022 0.0778
Ir1 0.0000 0.0000 0.0000
```

Top 10 peaks for 10° ≤ 2θ ≤ 90°, sorted by position:
| h k l | 2θ/deg | d_spacing | I (rel.) |
| --- | --- | --- | --- |
| 1 0 1 | 23.03 | 3.861 | 100.0 |
| 0 0 6 | 24.78 | 3.592 | 29.1 |
| 1 0 7 | 37.11 | 2.423 | 59.6 |
| 1 1 0 | 39.78 | 2.266 | 50.5 |
| 0 1 8 | 40.62 | 2.221 | 27.6 |
| 0 2 1 | 46.46 | 1.954 | 19.9 |
| 1 1 6 | 47.44 | 1.917 | 39.3 |
| 0 2 7 | 55.53 | 1.655 | 16.0 |
| 2 1 1 | 62.78 | 1.480 | 13.5 |
| 2 1 7 | 70.46 | 1.336 | 18.6 |

Diffraction record for HfSc2Be2Ir5. The powder XRD pattern is theoretical, not measured: it uses a DFT-relaxed cell (PBE, Alexandria) and Cu Ka.
Kinematic intensities with the Lorentz-polarization factor, no thermal factor.

Cell and atoms:
```
data_HfSc2Be2Ir5
_cell_length_a 9.672
_cell_length_b 9.672
_cell_length_c 3.172
_cell_angle_alpha 90.00
_cell_angle_beta 90.00
_cell_angle_gamma 90.00
_symmetry_space_group_name_H-M 'P 4/m b m'
_symmetry_Int_Tables_number 127
_symmetry_space_group_name_Hall '-P 4 2ab'
loop_
_atom_site_label
_atom_site_fract_x
_atom_site_fract_y
_atom_site_fract_z
Hf1 0.000 0.000 0.000
Sc1 0.175 0.325 0.000
Be1 0.120 0.620 0.000
Ir1 0.000 0.500 0.500
Ir2 0.071 0.784 0.500
```

Top 10 peaks for 10° ≤ 2θ ≤ 90°, sorted by position:
| h k l | 2θ/deg | d_spacing | I (rel.) |
| --- | --- | --- | --- |
| 0 0 1 | 28.13 | 3.172 | 42.3 |
| 3 2 0 | 33.40 | 2.682 | 33.0 |
| 2 1 1 | 35.08 | 2.558 | 33.0 |
| 4 1 0 | 38.37 | 2.346 | 53.4 |
| 2 2 1 | 38.72 | 2.326 | 34.1 |
| 3 1 1 | 40.99 | 2.202 | 100.0 |
| 4 2 0 | 41.77 | 2.163 | 49.7 |
| 3 2 1 | 44.22 | 2.048 | 38.0 |
| 4 1 1 | 48.25 | 1.886 | 30.2 |
| 7 1 1 | 75.73 | 1.256 | 40.9 |